For CaNi4B, a structure optimized by DFT (PBE) gives the simulated powder X-ray diffraction pattern in this record (λ = 1.5418 Å (Cu Kα)).
Neutral-atom scattering factors, no anomalous dispersion.

Principal peaks in the range 5° ≤ 2θ ≤ 70°, low angle first:
2θ/deg, d [Å], Rel. int.
20.4, 4.363, 51
33.3, 2.689, 30
35.6, 2.519, 9
38.1, 2.363, 32
39.6, 2.277, 35
41.4, 2.182, 89
43.6, 2.078, 27
44.7, 2.027, 100
44.9, 2.018, 21
49.6, 1.838, 65
53.7, 1.707, 13
58.6, 1.575, 21

Atomic structure:
Cell lengths 5.0380, 5.0380, 6.8300 Å; angles 90.00, 90.00, 120.00 degrees
Space group P6/mmm (No. 191)
One atom of each set of equivalent atoms:
Ca  0.0000  0.0000  0.0000 x1
Ca  0.0000  0.0000  0.5000 x1
Ni  0.0000  0.5000  0.2047 x6
Ni  0.3333  0.6667  0.5000 x2
B  0.3333  0.6667  0.0000 x2